1.
Calculated X-ray diffraction stick pattern of MgI2O6 for Cu Kα, from a cell relaxed with GGA-PBE.

Largest 10 diffraction maxima, sorted by position, 2θ from 15° to 90°:
18.1°, intensity 18
25.4°, intensity 100
31.7°, intensity 30
40.4°, intensity 8
41.0°, intensity 20
48.5°, intensity 25
52.8°, intensity 24
56.4°, intensity 9
67.8°, intensity 7
72.1°, intensity 11

Cell and atoms:
Cell lengths 5.6486, 5.6486, 5.0238 Å; angles 90.00, 90.00, 120.00 degrees
Space group P3 (No. 143)
Inequivalent atoms, fractional coordinates:
Mg1 0.0000 0.0000 0.0000
I1 0.3333 0.6667 0.5913
I2 0.6667 0.3333 0.0479
O1 0.0912 0.3531 0.7644
O2 0.3490 0.2493 0.2237

2.
Calculated X-ray diffraction stick pattern of K3Si5H2O11 for Cu Kα, from a cell relaxed with GGA-PBE.

Largest 10 diffraction maxima, sorted by position, 2θ from 15° to 90°:
22.0°, intensity 74
22.2°, intensity 74
22.4°, intensity 74
26.1°, intensity 97
26.3°, intensity 68
26.6°, intensity 69
27.9°, intensity 66
31.8°, intensity 100
34.6°, intensity 66
38.2°, intensity 74

Cell and atoms:
Cell lengths 12.950, 7.999, 14.057 Å; angles 90.00, 107.93, 90.00 degrees
Space group Cc (No. 9)
Inequivalent atoms, fractional coordinates:
K1 0.000 0.030 0.000
K2 0.211 0.095 0.372
K3 0.403 0.033 0.694
Si1 0.064 0.453 0.491
Si2 0.155 0.229 0.686
Si3 0.198 0.463 0.860
Si4 0.230 0.264 0.047
Si5 0.336 0.491 0.230
H1 0.011 0.018 0.736
H2 0.390 0.117 0.943
O1 0.074 0.300 0.570
O2 0.113 0.365 0.039
O3 0.114 0.370 0.764
O4 0.126 0.407 0.407
O5 0.219 0.067 0.041
O6 0.268 0.339 0.951
O7 0.275 0.334 0.684
O8 0.289 0.431 0.324
O9 0.320 0.332 0.152
O10 0.432 0.021 0.932
O11 0.469 0.483 0.783

3.
Calculated X-ray diffraction stick pattern of BiTePt for Cu Kα, from a cell relaxed with GGA-PBE.

Largest 10 diffraction maxima, sorted by position, 2θ from 15° to 90°:
26.4°, intensity 30
29.5°, intensity 96
32.4°, intensity 67
37.6°, intensity 30
44.4°, intensity 100
50.5°, intensity 40
63.0°, intensity 22
72.6°, intensity 29
75.7°, intensity 19
80.3°, intensity 25

Cell and atoms:
Cell lengths 6.764, 6.764, 6.764 Å; angles 90.00, 90.00, 90.00 degrees
Space group P2_13 (No. 198)
Inequivalent atoms, fractional coordinates:
Bi1 0.132 0.368 0.632
Te1 0.127 0.127 0.127
Pt1 0.005 0.995 0.495

4.
Calculated X-ray diffraction stick pattern of Ag3SBr for Cu Kα, from a cell relaxed with GGA-PBE.

Largest 10 diffraction maxima, sorted by position, 2θ from 15° to 90°:
15.5°, intensity 11
31.3°, intensity 100
36.0°, intensity 17
36.2°, intensity 26
36.7°, intensity 25
52.0°, intensity 10
52.3°, intensity 10
52.5°, intensity 16
62.1°, intensity 11
62.7°, intensity 10

Cell and atoms:
Cell lengths 9.979, 9.798, 9.917 Å; angles 90.00, 90.00, 90.00 degrees
Space group Cmcm (No. 63)
Inequivalent atoms, fractional coordinates:
Ag1 0.000 0.243 0.021
Ag2 0.208 0.000 0.000
Ag3 0.211 0.264 0.250
S1 0.250 0.250 0.000
Br1 0.000 0.004 0.750
Br2 0.000 0.467 0.250

5.
Calculated X-ray diffraction stick pattern of Ba3NdRu2O9 for Cu Kα, from a cell relaxed with GGA-PBE.

Largest 10 diffraction maxima, sorted by position, 2θ from 15° to 90°:
29.3°, intensity 25
29.5°, intensity 24
29.6°, intensity 23
29.7°, intensity 100
42.2°, intensity 14
42.3°, intensity 14
42.5°, intensity 14
52.7°, intensity 29
61.7°, intensity 18
85.5°, intensity 14

Cell and atoms:
Cell lengths 6.011, 10.413, 14.914 Å; angles 90.00, 90.57, 90.00 degrees
Space group C2/c (No. 15)
Inequivalent atoms, fractional coordinates:
Ba1 0.000 0.000 0.250
Ba2 0.002 0.334 0.102
Nd1 0.000 0.000 0.000
Ru1 0.005 0.333 0.666
O1 0.000 0.491 0.750
O2 0.012 0.177 0.593
O3 0.220 0.410 0.912
O4 0.236 0.255 0.754
O5 0.244 0.410 0.596